No. 1
This entry pairs a crystal structure of Ge4Ir2Rh with its calculated powder diffractogram. Radiation: λ = 1.5418 Å (Cu Kα). Structure: a DFT-relaxed cell (PBE, Alexandria).
No peak broadening, texture or thermal motion is included.

Principal peaks in the range 2θ = 10–90°, by angle:
15.57°, 5.692 Å, I = 29
25.32°, 3.518 Å, I = 52
33.55°, 2.671 Å, I = 43
38.03°, 2.366 Å, I = 100
40.01°, 2.253 Å, I = 52
42.99°, 2.104 Å, I = 37
44.61°, 2.031 Å, I = 27
46.09°, 1.969 Å, I = 30
46.26°, 1.963 Å, I = 33
47.52°, 1.914 Å, I = 29

Atomic structure:
Unit cell a=12.4189 b=2.9589 c=12.8074 alpha=90.00 beta=90.00 gamma=90.00
Fractional coordinates of all 28 atoms:
Ge: 0.0366 0.2500 0.0921
Ge: 0.0495 0.7500 0.3616
Ge: 0.1790 0.7500 0.7339
Ge: 0.2452 0.7500 0.0264
Ge: 0.2548 0.2500 0.5264
Ge: 0.3210 0.2500 0.2339
Ge: 0.4505 0.2500 0.8616
Ge: 0.4634 0.7500 0.5921
Ge: 0.5366 0.2500 0.4079
Ge: 0.5495 0.7500 0.1384
Ge: 0.6790 0.7500 0.7661
Ge: 0.7452 0.7500 0.4736
Ge: 0.7548 0.2500 0.9736
Ge: 0.8210 0.2500 0.2661
Ge: 0.9505 0.2500 0.6384
Ge: 0.9634 0.7500 0.9079
Ir: 0.0886 0.7500 0.5531
Ir: 0.1545 0.7500 0.2033
Ir: 0.3455 0.2500 0.7033
Ir: 0.4114 0.2500 0.0531
Ir: 0.5886 0.7500 0.9469
Ir: 0.6545 0.7500 0.2967
Ir: 0.8455 0.2500 0.7967
Ir: 0.9114 0.2500 0.4469
Rh: 0.1338 0.2500 0.8987
Rh: 0.3662 0.7500 0.3987
Rh: 0.6338 0.2500 0.6013
Rh: 0.8662 0.7500 0.1013

***

No. 2
This entry pairs a crystal structure of Sm2Ge3Ir4Rh with its calculated powder diffractogram. Radiation: λ = 1.5418 Å (Cu Kα). Structure: a DFT-relaxed cell (PBE, Alexandria).
No peak broadening, texture or thermal motion is included.

Principal peaks in the range 2θ = 10–90°, by angle:
31.30°, 2.858 Å, I = 17
33.43°, 2.681 Å, I = 46
34.74°, 2.582 Å, I = 100
43.06°, 2.101 Å, I = 62
46.29°, 1.961 Å, I = 31
48.68°, 1.870 Å, I = 27
55.58°, 1.654 Å, I = 22
62.53°, 1.485 Å, I = 21
66.99°, 1.397 Å, I = 21
73.55°, 1.288 Å, I = 23

Atomic structure:
Unit cell a=4.2016 b=4.2016 c=10.4440 alpha=90.00 beta=90.00 gamma=90.00
Fractional coordinates of all 10 atoms:
Sm: 0.0000 0.5000 0.2459
Sm: 0.5000 0.0000 0.7541
Ge: 0.0000 0.5000 0.8692
Ge: 0.5000 0.0000 0.1308
Ge: 0.5000 0.5000 0.5000
Ir: 0.0000 0.0000 0.0000
Ir: 0.0000 0.5000 0.6367
Ir: 0.5000 0.0000 0.3633
Ir: 0.5000 0.5000 0.0000
Rh: 0.0000 0.0000 0.5000

***

No. 3
This entry pairs a crystal structure of Ge4Ir2Ru with its calculated powder diffractogram. Radiation: λ = 1.5418 Å (Cu Kα). Structure: a DFT-relaxed cell (PBE, Alexandria).
No peak broadening, texture or thermal motion is included.

Principal peaks in the range 2θ = 10–90°, by angle:
26.33°, 3.385 Å, I = 39
26.79°, 3.328 Å, I = 92
33.69°, 2.660 Å, I = 100
41.59°, 2.172 Å, I = 43
43.34°, 2.088 Å, I = 78
43.76°, 2.069 Å, I = 65
45.18°, 2.007 Å, I = 58
46.12°, 1.968 Å, I = 51
47.65°, 1.909 Å, I = 68
62.09°, 1.495 Å, I = 50

Atomic structure:
Unit cell a=11.4636 b=2.9897 c=13.5403 alpha=90.00 beta=90.00 gamma=90.00
Fractional coordinates of all 28 atoms:
Ge: 0.0488 0.2500 0.2129
Ge: 0.0978 0.7500 0.4500
Ge: 0.1399 0.2500 0.9237
Ge: 0.2335 0.2500 0.6738
Ge: 0.2665 0.7500 0.1738
Ge: 0.3601 0.7500 0.4237
Ge: 0.4022 0.2500 0.9500
Ge: 0.4512 0.7500 0.7129
Ge: 0.5488 0.2500 0.2871
Ge: 0.5978 0.7500 0.0500
Ge: 0.6399 0.2500 0.5763
Ge: 0.7335 0.2500 0.8262
Ge: 0.7665 0.7500 0.3262
Ge: 0.8601 0.7500 0.0763
Ge: 0.9022 0.2500 0.5500
Ge: 0.9512 0.7500 0.7871
Ir: 0.0595 0.7500 0.6348
Ir: 0.0821 0.7500 0.0696
Ir: 0.4179 0.2500 0.5696
Ir: 0.4405 0.2500 0.1348
Ir: 0.5595 0.7500 0.8652
Ir: 0.5821 0.7500 0.4304
Ir: 0.9179 0.2500 0.9304
Ir: 0.9405 0.2500 0.3652
Ru: 0.2195 0.2500 0.3363
Ru: 0.2805 0.7500 0.8363
Ru: 0.7195 0.2500 0.1637
Ru: 0.7805 0.7500 0.6637

***

No. 4
This entry pairs a crystal structure of GeIrS4 with its calculated powder diffractogram. Radiation: λ = 1.5418 Å (Cu Kα). Structure: a DFT-relaxed cell (PBE, Alexandria).
No peak broadening, texture or thermal motion is included.

Principal peaks in the range 2θ = 10–90°, by angle:
14.59°, 6.070 Å, I = 18
15.39°, 5.756 Å, I = 100
29.43°, 3.035 Å, I = 13
29.82°, 2.996 Å, I = 37
34.86°, 2.574 Å, I = 24
36.57°, 2.457 Å, I = 44
38.62°, 2.331 Å, I = 11
48.17°, 1.889 Å, I = 12
50.91°, 1.794 Å, I = 15
51.92°, 1.761 Å, I = 15

Atomic structure:
Unit cell a=11.5787 b=3.5409 c=6.1052 alpha=90.00 beta=96.14 gamma=90.00
Fractional coordinates of all 12 atoms:
Ge: 0.0000 0.0000 0.0000
Ge: 0.5000 0.5000 0.0000
Ir: 0.0000 0.5000 0.5000
Ir: 0.5000 0.0000 0.5000
S: 0.1086 0.0000 0.3591
S: 0.1136 0.5000 0.8418
S: 0.3864 0.0000 0.1582
S: 0.3914 0.5000 0.6409
S: 0.6086 0.5000 0.3591
S: 0.6136 0.0000 0.8418
S: 0.8864 0.5000 0.1582
S: 0.8914 0.0000 0.6409

***

No. 5
This entry pairs a crystal structure of Ge3Ir2S3 with its calculated powder diffractogram. Radiation: λ = 1.5418 Å (Cu Kα). Structure: a DFT-relaxed cell (PBE, Alexandria).
No peak broadening, texture or thermal motion is included.

Principal peaks in the range 2θ = 10–90°, by angle:
21.16°, 4.198 Å, I = 100
30.11°, 2.968 Å, I = 77
33.76°, 2.655 Å, I = 34
37.13°, 2.421 Å, I = 26
43.10°, 2.099 Å, I = 14
48.43°, 1.880 Å, I = 45
48.55°, 1.875 Å, I = 45
53.33°, 1.718 Å, I = 15
53.51°, 1.712 Å, I = 44
75.10°, 1.265 Å, I = 15

Atomic structure:
Unit cell a=8.3960 b=8.3960 c=8.3960 alpha=89.84 beta=89.84 gamma=89.84
Fractional coordinates of all 32 atoms:
Ge: 0.0025 0.1449 0.6610
Ge: 0.1449 0.6610 0.0025
Ge: 0.1614 0.5009 0.3557
Ge: 0.3390 0.9975 0.8551
Ge: 0.3557 0.1614 0.5009
Ge: 0.4991 0.6443 0.8386
Ge: 0.5009 0.3557 0.1614
Ge: 0.6443 0.8386 0.4991
Ge: 0.6610 0.0025 0.1449
Ge: 0.8386 0.4991 0.6443
Ge: 0.8551 0.3390 0.9975
Ge: 0.9975 0.8551 0.3390
Ir: 0.2463 0.7456 0.7474
Ir: 0.2470 0.2470 0.2470
Ir: 0.2526 0.7537 0.2544
Ir: 0.2544 0.2526 0.7537
Ir: 0.7456 0.7474 0.2463
Ir: 0.7474 0.2463 0.7456
Ir: 0.7530 0.7530 0.7530
Ir: 0.7537 0.2544 0.2526
S: 0.0018 0.1407 0.3530
S: 0.1407 0.3530 0.0018
S: 0.1468 0.4996 0.6416
S: 0.3530 0.0018 0.1407
S: 0.3584 0.8532 0.5004
S: 0.5004 0.3584 0.8532
S: 0.4996 0.6416 0.1468
S: 0.6416 0.1468 0.4996
S: 0.6470 0.9982 0.8593
S: 0.8532 0.5004 0.3584
S: 0.8593 0.6470 0.9982
S: 0.9982 0.8593 0.6470

***

No. 6
This entry pairs a crystal structure of Sc4Ge6Ir7 with its calculated powder diffractogram. Radiation: λ = 1.5418 Å (Cu Kα). Structure: a DFT-relaxed cell (PBE, Alexandria).
No peak broadening, texture or thermal motion is included.

Principal peaks in the range 2θ = 10–90°, by angle:
21.66°, 4.103 Å, I = 50
26.61°, 3.350 Å, I = 43
37.99°, 2.369 Å, I = 100
41.16°, 2.193 Å, I = 68
44.15°, 2.051 Å, I = 77
52.29°, 1.749 Å, I = 31
64.21°, 1.451 Å, I = 42
77.10°, 1.237 Å, I = 27
79.17°, 1.210 Å, I = 20
87.32°, 1.117 Å, I = 19

Atomic structure:
Unit cell a=7.1061 b=7.1061 c=7.1061 alpha=109.47 beta=109.47 gamma=109.47
Fractional coordinates of all 17 atoms:
Sc: 0.0000 0.0000 0.5000
Sc: 0.0000 0.5000 0.0000
Sc: 0.5000 0.0000 0.0000
Sc: 0.5000 0.5000 0.5000
Ge: 0.0000 0.3121 0.3121
Ge: 0.0000 0.6879 0.6879
Ge: 0.3121 0.0000 0.3121
Ge: 0.3121 0.3121 0.0000
Ge: 0.6879 0.0000 0.6879
Ge: 0.6879 0.6879 0.0000
Ir: 0.0000 0.0000 0.0000
Ir: 0.2500 0.5000 0.7500
Ir: 0.2500 0.7500 0.5000
Ir: 0.5000 0.2500 0.7500
Ir: 0.5000 0.7500 0.2500
Ir: 0.7500 0.2500 0.5000
Ir: 0.7500 0.5000 0.2500